No. 1
Structure and computed powder XRD pattern of LaTbC4 (DFT lattice parameters and positions (GGA-PBE); λ = 1.5418 Å (Cu Kα)).

Top 10 peaks for 2θ from 15° to 90°, by angle:
(2 0 0), 2θ = 26.90°, intensity 501; (0 0 2), 2θ = 27.26°, intensity 485; (1 1 -1), 2θ = 27.37°, intensity 957; (2 0 -2), 2θ = 27.91°, intensity 654; (1 1 1), 2θ = 33.22°, intensity 1000; (3 1 -1), 2θ = 43.68°, intensity 382; (1 1 -3), 2θ = 44.16°, intensity 374; (2 0 2), 2θ = 47.33°, intensity 177; (3 1 -3), 2θ = 49.05°, intensity 276; (2 2 -2), 2θ = 56.48°, intensity 178

Structural model:
a = 7.509 Å, b = 3.788 Å, c = 7.410 Å
α = 90.00°, β = 118.00°, γ = 90.00°
Space group C2/m (No. 12)
Inequivalent atoms, fractional coordinates:
La1 0.000 0.000 0.000
Tb1 0.000 0.500 0.500
C1 0.192 0.000 0.782
C2 0.203 0.500 0.317


No. 2
Structure and computed powder XRD pattern of Cs3HSe2O8 (DFT lattice parameters and positions (GGA-PBE); λ = 1.5418 Å (Cu Kα)).

Top 10 peaks for 2θ from 15° to 90°, by angle:
(3 1 1), 2θ = 24.12°, intensity 912; (4 0 -2), 2θ = 24.54°, intensity 457; (1 1 -3), 2θ = 27.47°, intensity 1000; (2 0 4), 2θ = 36.62°, intensity 188; (4 2 -2), 2θ = 37.14°, intensity 302; (7 1 -1), 2θ = 40.75°, intensity 189; (2 2 4), 2θ = 46.36°, intensity 122; (5 1 -5), 2θ = 47.08°, intensity 113; (2 0 -6), 2θ = 48.56°, intensity 160; (2 2 -6), 2θ = 56.70°, intensity 132

Structural model:
a = 16.484 Å, b = 6.502 Å, c = 11.241 Å
α = 90.00°, β = 101.85°, γ = 90.00°
Space group C2/c (No. 15)
Inequivalent atoms, fractional coordinates:
Cs1 0.000 0.246 0.250
Cs2 0.191 0.225 0.652
H1 0.000 0.500 0.000
Se1 0.115 0.286 0.965
O1 0.010 0.338 0.950
O2 0.123 0.065 0.895
O3 0.154 0.270 0.114
O4 0.155 0.483 0.901


No. 3
Structure and computed powder XRD pattern of Zr2N2O (DFT lattice parameters and positions (GGA-PBE); λ = 1.5418 Å (Cu Kα)).

Top 10 peaks for 2θ from 15° to 90°, by angle:
(1 1 2), 2θ = 29.99°, intensity 826; (4 0 2), 2θ = 30.58°, intensity 925; (4 0 -4), 2θ = 31.12°, intensity 919; (0 0 6), 2θ = 32.79°, intensity 442; (3 1 0), 2θ = 33.36°, intensity 676; (1 1 -4), 2θ = 34.40°, intensity 1000; (3 1 -6), 2θ = 44.59°, intensity 401; (3 1 6), 2θ = 50.24°, intensity 536; (7 1 -4), 2θ = 56.11°, intensity 306; (7 1 2), 2θ = 58.23°, intensity 462

Structural model:
a = 13.682 Å, b = 3.356 Å, c = 16.678 Å
α = 90.00°, β = 100.75°, γ = 90.00°
Space group C2/m (No. 12)
Inequivalent atoms, fractional coordinates:
Zr1 0.030 0.000 0.155
Zr2 0.037 0.000 0.652
Zr3 0.128 0.500 0.987
Zr4 0.135 0.500 0.497
Zr5 0.195 0.500 0.817
Zr6 0.197 0.500 0.315
N1 0.026 0.500 0.578
N2 0.034 0.500 0.079
N3 0.128 0.000 0.894
N4 0.172 0.000 0.736
N5 0.173 0.000 0.234
N6 0.204 0.000 0.562
O1 0.000 0.500 0.250
O2 0.126 0.000 0.387
O3 0.208 0.000 0.060